# LiFe8O12
Computed powder XRD pattern, Cu Kα (weighted mean of Kα1 and Kα2). Input: a GGA+U-relaxed structure.

Most intense lines, 15 to 90 degrees two-theta, by intensity:
2θ (°)	I/Imax	h k l
34.82	1000	1 1 2
34.42	573	0 2 0
50.63	547	3 1 0
29.23	542	0 1 2
15.37	539	1 0 0
50.94	538	2 2 -2
51.82	495	1 1 -4
61.91	455	1 3 2
35.59	359	2 1 0
20.71	342	1 0 1
31.52	309	2 0 -1
26.28	307	1 0 -2

Structure:
a = 5.8278 Å, b = 5.2110 Å, c = 7.6249 Å
α = 90.00°, β = 98.38°, γ = 90.00°
Fractional coordinates of all 21 atoms:
Li  0.0000  0.0000  0.0000
Fe  0.1568  0.0202  0.3889
Fe  0.2904  0.5082  0.0802
Fe  0.3085  0.5181  0.5814
Fe  0.4582  0.0159  0.7795
Fe  0.5418  0.0159  0.2205
Fe  0.6915  0.5181  0.4186
Fe  0.7096  0.5082  0.9198
Fe  0.8432  0.0202  0.6111
O  0.0000  0.3235  0.5000
O  0.0000  0.6490  0.0000
O  0.1702  0.8686  0.6415
O  0.2130  0.1647  0.1688
O  0.3553  0.7033  0.3292
O  0.3619  0.3622  0.8337
O  0.5000  0.1887  0.5000
O  0.5000  0.8139  0.0000
O  0.6381  0.3622  0.1663
O  0.6447  0.7033  0.6708
O  0.7870  0.1647  0.8312
O  0.8298  0.8686  0.3585